This entry pairs a crystal structure of Y5Pb4O with its simulated powder X-ray diffraction pattern. Radiation: copper Kα. Structure: the PBE geometry in Alexandria.

Top 8 peaks for 10° ≤ 2θ ≤ 90°, low angle first:
- d = 3.489 Å, 25.53 deg, rel. 43, (2 1 1)
- d = 3.130 Å, 28.52 deg, rel. 81, (0 0 2)
- d = 2.972 Å, 30.07 deg, rel. 100, (1 3 0)
- d = 2.802 Å, 31.94 deg, rel. 80, (3 0 1)
- d = 2.406 Å, 37.37 deg, rel. 54, (3 2 1)
- d = 2.155 Å, 41.92 deg, rel. 78, (1 3 2)
- d = 1.745 Å, 52.44 deg, rel. 28, (4 2 2)
- d = 1.500 Å, 61.85 deg, rel. 34, (1 6 1)

Cell and atoms:
```
data_Y5Pb4O
_chemical_formula_sum 'Y10 Pb8 O2'
_cell_length_a 9.399
_cell_length_b 9.399
_cell_length_c 6.259
_cell_angle_alpha 90.00
_cell_angle_beta 90.00
_cell_angle_gamma 90.00
_space_group_name_H-M_alt 'I 4'
_space_group_IT_number 79
loop_
_space_group_symop_operation_xyz
'x,y,z'
'-y,x,z'
'-x,-y,z'
'y,-x,z'
'x+1/2,y+1/2,z+1/2'
'-y+1/2,x+1/2,z+1/2'
'-x+1/2,-y+1/2,z+1/2'
'y+1/2,-x+1/2,z+1/2'
loop_
_atom_site_label
_atom_site_fract_x
_atom_site_fract_y
_atom_site_fract_z
_atom_site_occupancy
Y1 0.000 0.000 0.000 1
Y2 0.110 0.238 0.435 1
Pb1 0.067 0.327 0.929 1
O1 0.000 0.000 0.365 1
```


This entry pairs a crystal structure of Y3PbO with its simulated powder X-ray diffraction pattern. Radiation: copper Kα. Structure: the PBE geometry in Alexandria.

Top 8 peaks for 10° ≤ 2θ ≤ 90°, low angle first:
- d = 5.871 Å, 15.09 deg, rel. 34, (0 1 0)
- d = 3.433 Å, 25.96 deg, rel. 52, (0 0 2)
- d = 3.344 Å, 26.66 deg, rel. 38, (0 1 2)
- d = 2.974 Å, 30.04 deg, rel. 92, (2 0 0)
- d = 2.936 Å, 30.45 deg, rel. 56, (0 2 0)
- d = 2.685 Å, 33.37 deg, rel. 100, (0 1 -2)
- d = 2.566 Å, 34.97 deg, rel. 35, (0 2 2)
- d = 2.298 Å, 39.21 deg, rel. 37, (2 1 -2)

Cell and atoms:
```
data_Y3PbO
_chemical_formula_sum 'Y6 Pb2 O2'
_cell_length_a 6.471
_cell_length_b 6.567
_cell_length_c 7.081
_cell_angle_alpha 76.56
_cell_angle_beta 89.35
_cell_angle_gamma 67.31
_space_group_name_H-M_alt 'P -1'
_space_group_IT_number 2
loop_
_space_group_symop_operation_xyz
'x,y,z'
'-x,-y,-z'
loop_
_atom_site_label
_atom_site_fract_x
_atom_site_fract_y
_atom_site_fract_z
_atom_site_occupancy
Y1 0.192 0.124 0.097 1
Y2 0.247 0.025 0.609 1
Y3 0.282 0.541 0.278 1
Pb1 0.216 0.507 0.741 1
O1 0.382 0.169 0.328 1
```


This entry pairs a crystal structure of Y3PbO with its simulated powder X-ray diffraction pattern. Radiation: copper Kα. Structure: the PBE geometry in Alexandria.

Top 8 peaks for 10° ≤ 2θ ≤ 90°, low angle first:
- d = 3.324 Å, 26.82 deg, rel. 71, (2 0 0)
- d = 3.076 Å, 29.03 deg, rel. 60, (0 0 4)
- d = 2.924 Å, 30.57 deg, rel. 35, (2 0 2)
- d = 2.890 Å, 30.95 deg, rel. 100, (2 1 1)
- d = 2.407 Å, 37.36 deg, rel. 96, (2 1 3)
- d = 2.257 Å, 39.94 deg, rel. 37, (2 0 4)
- d = 1.682 Å, 54.58 deg, rel. 32, (3 2 3)
- d = 1.462 Å, 63.65 deg, rel. 27, (4 0 4)

Cell and atoms:
```
data_Y3PbO
_chemical_formula_sum 'Y12 Pb4 O4'
_cell_length_a 6.647
_cell_length_b 6.647
_cell_length_c 12.302
_cell_angle_alpha 90.00
_cell_angle_beta 90.00
_cell_angle_gamma 90.00
_space_group_name_H-M_alt 'I -4 m 2'
_space_group_IT_number 119
_space_group_name_Hall 'I -4 -2'
loop_
_atom_site_label
_atom_site_fract_x
_atom_site_fract_y
_atom_site_fract_z
_atom_site_occupancy
Y1 0.000 0.000 0.127 1
Y2 0.000 0.251 0.622 1
Pb1 0.000 0.500 0.114 1
O1 0.000 0.000 0.500 1
O2 0.000 0.500 0.750 1
```


This entry pairs a crystal structure of Y3PbO with its simulated powder X-ray diffraction pattern. Radiation: copper Kα. Structure: the PBE geometry in Alexandria.

Top 8 peaks for 10° ≤ 2θ ≤ 90°, low angle first:
- d = 3.681 Å, 24.18 deg, rel. 47, (3 1 0)
- d = 3.110 Å, 28.71 deg, rel. 31, (0 0 2)
- d = 2.867 Å, 31.19 deg, rel. 46, (4 0 0)
- d = 2.837 Å, 31.54 deg, rel. 27, (2 0 -2)
- d = 2.674 Å, 33.51 deg, rel. 100, (2 4 -1)
- d = 2.641 Å, 33.95 deg, rel. 55, (2 0 2)
- d = 2.587 Å, 34.67 deg, rel. 65, (2 4 1)
- d = 1.765 Å, 51.80 deg, rel. 33, (0 4 3)

Cell and atoms:
```
data_Y3PbO
_chemical_formula_sum 'Y24 Pb8 O8'
_cell_length_a 11.511
_cell_length_b 13.458
_cell_length_c 6.242
_cell_angle_alpha 90.00
_cell_angle_beta 94.90
_cell_angle_gamma 90.00
_space_group_name_H-M_alt 'C 1 2/c 1'
_space_group_IT_number 15
loop_
_space_group_symop_operation_xyz
'x,y,z'
'-x,-y,-z'
'-x,y,-z+1/2'
'x,-y,z+1/2'
'x+1/2,y+1/2,z'
'-x+1/2,-y+1/2,-z'
'-x+1/2,y+1/2,-z+1/2'
'x+1/2,-y+1/2,z+1/2'
loop_
_atom_site_label
_atom_site_fract_x
_atom_site_fract_y
_atom_site_fract_z
_atom_site_occupancy
Y1 0.110 0.162 0.072 1
Y2 0.115 0.304 0.595 1
Y3 0.116 0.432 0.099 1
Pb1 0.166 0.075 0.555 1
O1 0.000 0.303 0.250 1
O2 0.000 0.438 0.750 1
```


This entry pairs a crystal structure of Y3PbO with its simulated powder X-ray diffraction pattern. Radiation: copper Kα. Structure: the PBE geometry in Alexandria.

Top 8 peaks for 10° ≤ 2θ ≤ 90°, low angle first:
- d = 4.221 Å, 21.05 deg, rel. 15, (0 1 1)
- d = 3.408 Å, 26.15 deg, rel. 17, (1 0 -2)
- d = 2.895 Å, 30.89 deg, rel. 100, (2 1 0)
- d = 2.873 Å, 31.13 deg, rel. 20, (1 1 -2)
- d = 2.670 Å, 33.56 deg, rel. 26, (0 2 0)
- d = 2.503 Å, 35.88 deg, rel. 18, (1 1 2)
- d = 1.581 Å, 58.35 deg, rel. 16, (2 3 0)
- d = 1.497 Å, 61.99 deg, rel. 12, (3 1 -4)

Cell and atoms:
```
data_Y3PbO
_chemical_formula_sum 'Y6 Pb2 O2'
_cell_length_a 7.075
_cell_length_b 5.340
_cell_length_c 7.078
_cell_angle_alpha 90.00
_cell_angle_beta 103.18
_cell_angle_gamma 90.00
_space_group_name_H-M_alt 'P 1 21 1'
_space_group_IT_number 4
loop_
_space_group_symop_operation_xyz
'x,y,z'
'-x,y+1/2,-z'
loop_
_atom_site_label
_atom_site_fract_x
_atom_site_fract_y
_atom_site_fract_z
_atom_site_occupancy
Y1 0.102 0.000 0.315 1
Y2 0.321 0.511 0.100 1
Y3 0.391 0.506 0.606 1
Pb1 0.180 0.005 0.817 1
O1 0.353 0.256 0.351 1
```


This entry pairs a crystal structure of Y2PbO with its simulated powder X-ray diffraction pattern. Radiation: copper Kα. Structure: the PBE geometry in Alexandria.

Top 8 peaks for 10° ≤ 2θ ≤ 90°, low angle first:
- d = 4.044 Å, 21.98 deg, rel. 39, (1 0 1)
- d = 3.213 Å, 27.77 deg, rel. 51, (1 1 0)
- d = 3.021 Å, 29.57 deg, rel. 62, (1 1 1)
- d = 2.957 Å, 30.22 deg, rel. 54, (0 0 3)
- d = 2.602 Å, 34.47 deg, rel. 100, (1 1 2)
- d = 2.272 Å, 39.68 deg, rel. 66, (2 0 0)
- d = 1.802 Å, 50.67 deg, rel. 51, (2 0 3)
- d = 1.553 Å, 59.52 deg, rel. 31, (1 1 5)

Cell and atoms:
```
data_Y2PbO
_chemical_formula_sum 'Y4 Pb2 O2'
_cell_length_a 4.543
_cell_length_b 4.543
_cell_length_c 8.872
_cell_angle_alpha 90.00
_cell_angle_beta 90.00
_cell_angle_gamma 90.00
_space_group_name_H-M_alt 'P 4/n m m'
_space_group_IT_number 129
loop_
_space_group_symop_operation_xyz
'x,y,z'
'-x,-y,-z'
'-y+1/2,x,z'
'y+1/2,-x,-z'
'-x+1/2,-y+1/2,z'
'x+1/2,y+1/2,-z'
'y,-x+1/2,z'
'-y,x+1/2,-z'
'x+1/2,-y,-z'
'-x+1/2,y,z'
'-y,-x,-z'
'y,x,z'
'-x,y+1/2,-z'
'x,-y+1/2,z'
'y+1/2,x+1/2,-z'
'-y+1/2,-x+1/2,z'
loop_
_atom_site_label
_atom_site_fract_x
_atom_site_fract_y
_atom_site_fract_z
_atom_site_occupancy
Y1 0.250 0.250 0.169 1
Y2 0.250 0.750 0.500 1
Pb1 0.250 0.250 0.803 1
O1 0.250 0.250 0.428 1
```


This entry pairs a crystal structure of ZnPb2O4 with its simulated powder X-ray diffraction pattern. Radiation: copper Kα. Structure: the PBE geometry in Alexandria.

Top 8 peaks for 10° ≤ 2θ ≤ 90°, low angle first:
- d = 5.099 Å, 17.39 deg, rel. 25, (1 1 0)
- d = 3.265 Å, 27.32 deg, rel. 27, (0 0 1)
- d = 3.113 Å, 28.68 deg, rel. 100, (1 3 0)
- d = 2.869 Å, 31.18 deg, rel. 29, (2 0 0)
- d = 2.750 Å, 32.57 deg, rel. 49, (1 1 1)
- d = 2.253 Å, 40.02 deg, rel. 42, (1 3 1)
- d = 2.009 Å, 45.12 deg, rel. 25, (2 2 1)
- d = 1.632 Å, 56.36 deg, rel. 21, (0 0 2)

Cell and atoms:
```
data_ZnPb2O4
_chemical_formula_sum 'Zn2 Pb4 O8'
_cell_length_a 5.738
_cell_length_b 11.116
_cell_length_c 3.265
_cell_angle_alpha 90.00
_cell_angle_beta 90.00
_cell_angle_gamma 90.00
_space_group_name_H-M_alt 'C m m m'
_space_group_IT_number 65
_space_group_name_Hall '-C 2 2'
loop_
_atom_site_label
_atom_site_fract_x
_atom_site_fract_y
_atom_site_fract_z
_atom_site_occupancy
Zn1 0.000 0.000 0.000 1
Pb1 0.000 0.338 0.500 1
O1 0.232 0.000 0.500 1
O2 0.250 0.250 0.000 1
```


This entry pairs a crystal structure of Zn6PbO6 with its simulated powder X-ray diffraction pattern. Radiation: copper Kα. Structure: the PBE geometry in Alexandria.

Top 8 peaks for 10° ≤ 2θ ≤ 90°, low angle first:
- d = 5.785 Å, 15.32 deg, rel. 63, (1 0 0)
- d = 3.340 Å, 26.69 deg, rel. 27, (1 1 1)
- d = 2.892 Å, 30.92 deg, rel. 44, (2 0 0)
- d = 2.587 Å, 34.67 deg, rel. 79, (2 1 0)
- d = 2.362 Å, 38.11 deg, rel. 100, (2 1 1)
- d = 1.928 Å, 47.13 deg, rel. 20, (3 0 0)
- d = 1.604 Å, 57.44 deg, rel. 20, (3 0 2)
- d = 1.546 Å, 59.82 deg, rel. 52, (3 2 1)

Cell and atoms:
```
data_Zn6PbO6
_chemical_formula_sum 'Zn6 Pb1 O6'
_cell_length_a 5.785
_cell_length_b 5.785
_cell_length_c 5.785
_cell_angle_alpha 90.00
_cell_angle_beta 90.00
_cell_angle_gamma 90.00
_space_group_name_H-M_alt 'P m -3'
_space_group_IT_number 200
_space_group_name_Hall '-P 2 2 3'
loop_
_atom_site_label
_atom_site_fract_x
_atom_site_fract_y
_atom_site_fract_z
_atom_site_occupancy
Zn1 0.000 0.254 0.500 1
Pb1 0.000 0.000 0.000 1
O1 0.000 0.500 0.249 1
```


This entry pairs a crystal structure of Zr2Pb2O with its simulated powder X-ray diffraction pattern. Radiation: copper Kα. Structure: the PBE geometry in Alexandria.

Top 8 peaks for 10° ≤ 2θ ≤ 90°, low angle first:
- d = 5.575 Å, 15.90 deg, rel. 20, (0 0 1)
- d = 3.094 Å, 28.86 deg, rel. 38, (2 0 0)
- d = 2.787 Å, 32.11 deg, rel. 39, (0 0 2)
- d = 2.479 Å, 36.24 deg, rel. 100, (2 1 1)
- d = 2.071 Å, 43.71 deg, rel. 25, (2 0 2)
- d = 1.543 Å, 59.97 deg, rel. 23, (2 1 3)
- d = 1.449 Å, 64.28 deg, rel. 33, (4 1 1)
- d = 1.167 Å, 82.65 deg, rel. 17, (4 1 3)

Cell and atoms:
```
data_Zr2Pb2O
_chemical_formula_sum 'Zr4 Pb4 O2'
_cell_length_a 6.187
_cell_length_b 6.187
_cell_length_c 5.575
_cell_angle_alpha 90.00
_cell_angle_beta 90.00
_cell_angle_gamma 90.00
_space_group_name_H-M_alt 'P 4/m b m'
_space_group_IT_number 127
_space_group_name_Hall '-P 4 2ab'
loop_
_atom_site_label
_atom_site_fract_x
_atom_site_fract_y
_atom_site_fract_z
_atom_site_occupancy
Zr1 0.183 0.317 0.000 1
Pb1 0.182 0.682 0.500 1
O1 0.000 0.000 0.000 1
```


This entry pairs a crystal structure of Pd2O with its simulated powder X-ray diffraction pattern. Radiation: copper Kα. Structure: the PBE geometry in Alexandria.

Top 7 peaks for 10° ≤ 2θ ≤ 90°, low angle first:
- d = 3.212 Å, 27.78 deg, rel. 2, (1 1 0)
- d = 2.623 Å, 34.19 deg, rel. 100, (1 1 1)
- d = 2.271 Å, 39.69 deg, rel. 42, (2 0 0)
- d = 1.606 Å, 57.38 deg, rel. 37, (2 2 0)
- d = 1.370 Å, 68.51 deg, rel. 38, (3 1 1)
- d = 1.311 Å, 72.02 deg, rel. 10, (2 2 2)
- d = 1.136 Å, 85.51 deg, rel. 6, (4 0 0)

Cell and atoms:
```
data_Pd2O
_chemical_formula_sum 'Pd4 O2'
_cell_length_a 4.542
_cell_length_b 4.542
_cell_length_c 4.542
_cell_angle_alpha 90.00
_cell_angle_beta 90.00
_cell_angle_gamma 90.00
_space_group_name_H-M_alt 'P n -3 m'
_space_group_IT_number 224
loop_
_space_group_symop_operation_xyz
'x,y,z'
'-x,-y,-z'
'-y,x+1/2,z+1/2'
'y,-x+1/2,-z+1/2'
'-x+1/2,-y+1/2,z'
'x+1/2,y+1/2,-z'
'y+1/2,-x,z+1/2'
'-y+1/2,x,-z+1/2'
'x,-y+1/2,-z+1/2'
'-x,y+1/2,z+1/2'
'-y,-x,-z'
'y,x,z'
'-x+1/2,y,-z+1/2'
'x+1/2,-y,z+1/2'
'y+1/2,x+1/2,-z'
'-y+1/2,-x+1/2,z'
'z,x,y'
'-z,-x,-y'
'z+1/2,-y,x+1/2'
'-z+1/2,y,-x+1/2'
'z,-x+1/2,-y+1/2'
'-z,x+1/2,y+1/2'
'z+1/2,y+1/2,-x'
'-z+1/2,-y+1/2,x'
'-z+1/2,x,-y+1/2'
'z+1/2,-x,y+1/2'
'-z,-y,-x'
'z,y,x'
'-z+1/2,-x+1/2,y'
'z+1/2,x+1/2,-y'
'-z,y+1/2,x+1/2'
'z,-y+1/2,-x+1/2'
'y,z,x'
'-y,-z,-x'
'x+1/2,z+1/2,-y'
'-x+1/2,-z+1/2,y'
'-y+1/2,z,-x+1/2'
'y+1/2,-z,x+1/2'
'-x,z+1/2,y+1/2'
'x,-z+1/2,-y+1/2'
'-y+1/2,-z+1/2,x'
'y+1/2,z+1/2,-x'
'-x,-z,-y'
'x,z,y'
'y,-z+1/2,-x+1/2'
'-y,z+1/2,x+1/2'
'x+1/2,-z,y+1/2'
'-x+1/2,z,-y+1/2'
loop_
_atom_site_label
_atom_site_fract_x
_atom_site_fract_y
_atom_site_fract_z
_atom_site_occupancy
Pd1 0.000 0.000 0.000 1
O1 0.250 0.250 0.250 1
```


This entry pairs a crystal structure of PdO2 with its simulated powder X-ray diffraction pattern. Radiation: copper Kα. Structure: the PBE geometry in Alexandria.

Top 8 peaks for 10° ≤ 2θ ≤ 90°, low angle first:
- d = 5.290 Å, 16.76 deg, rel. 100, (0 0 2)
- d = 2.686 Å, 33.35 deg, rel. 30, (1 1 0)
- d = 2.408 Å, 37.34 deg, rel. 18, (1 1 -2)
- d = 2.395 Å, 37.55 deg, rel. 18, (0 2 2)
- d = 2.383 Å, 37.76 deg, rel. 18, (1 1 2)
- d = 1.897 Å, 47.95 deg, rel. 12, (1 1 -4)
- d = 1.885 Å, 48.29 deg, rel. 12, (0 2 4)
- d = 1.551 Å, 59.61 deg, rel. 12, (2 0 0)

Cell and atoms:
```
data_PdO2
_chemical_formula_sum 'Pd4 O8'
_cell_length_a 3.102
_cell_length_b 5.373
_cell_length_c 10.582
_cell_angle_alpha 90.00
_cell_angle_beta 90.87
_cell_angle_gamma 90.00
_space_group_name_H-M_alt 'C 1 2/c 1'
_space_group_IT_number 15
loop_
_space_group_symop_operation_xyz
'x,y,z'
'-x,-y,-z'
'-x,y,-z+1/2'
'x,-y,z+1/2'
'x+1/2,y+1/2,z'
'-x+1/2,-y+1/2,-z'
'-x+1/2,y+1/2,-z+1/2'
'x+1/2,-y+1/2,z+1/2'
loop_
_atom_site_label
_atom_site_fract_x
_atom_site_fract_y
_atom_site_fract_z
_atom_site_occupancy
Pd1 0.000 0.000 0.000 1
O1 0.005 0.333 0.093 1
```